Entry 1:
# RbLaNbPdBr
Calculated XRD peak list, Cu Ka. Input: a DFT-relaxed cell (GGA-PBE, Alexandria).
Kinematic intensities with the Lorentz-polarization factor, no thermal factor.

Principal peaks in the range 2θ = 10–80°, sorted by position:
d (Å), Rel. int.
2.745, 100
2.719, 11
2.503, 54
2.335, 11
1.841, 14
1.770, 19
1.513, 14
1.487, 30

Crystal structure
a = 11.1596 Å, b = 11.1596 Å, c = 11.1596 Å
α = 161.75°, β = 161.75°, γ = 25.92°
Fractional coordinates of all 5 atoms:
Rb1 0.0000 0.0000 0.0000
La1 0.2182 0.2182 0.0000
Nb1 0.8224 0.8224 0.0000
Pd1 0.3735 0.3735 0.0000
Br1 0.6129 0.6129 0.0000


Entry 2:
# PrMg2Zn9
Calculated XRD peak list, Cu Ka. Input: a DFT-relaxed cell (GGA-PBE, Alexandria).
Kinematic intensities with the Lorentz-polarization factor, no thermal factor.

Principal peaks in the range 2θ = 10–80°, sorted by position:
d (Å), Rel. int.
7.895, 17
2.984, 22
2.543, 26
2.420, 100
2.279, 93
1.659, 28
1.341, 26
1.271, 26

Crystal structure
a = 9.1162 Å, b = 9.1162 Å, c = 3.0636 Å
α = 90.00°, β = 90.00°, γ = 120.00°
Fractional coordinates of all 12 atoms:
Pr1 0.0000 0.0000 0.0000
Mg1 0.3333 0.6667 0.0000
Mg2 0.6667 0.3333 0.0000
Zn1 0.0000 0.5000 0.0000
Zn2 0.1795 0.3591 0.5000
Zn3 0.1795 0.8205 0.5000
Zn4 0.3591 0.1795 0.5000
Zn5 0.5000 0.0000 0.0000
Zn6 0.5000 0.5000 0.0000
Zn7 0.6409 0.8205 0.5000
Zn8 0.8205 0.1795 0.5000
Zn9 0.8205 0.6409 0.5000


Entry 3:
# Hg4ClF
Calculated XRD peak list, Cu Ka. Input: a DFT-relaxed cell (GGA-PBE, Alexandria).
Kinematic intensities with the Lorentz-polarization factor, no thermal factor.

Principal peaks in the range 2θ = 10–80°, sorted by position:
d (Å), Rel. int.
5.977, 27
2.985, 100
2.974, 30
2.540, 17
2.259, 15
2.251, 23
2.100, 15
1.992, 12

Crystal structure
a = 5.9770 Å, b = 5.9770 Å, c = 8.3995 Å
α = 90.04°, β = 90.04°, γ = 90.39°
Fractional coordinates of all 12 atoms:
Hg1 0.1632 0.7377 0.0000
Hg2 0.1800 0.1804 0.2504
Hg3 0.1804 0.1800 0.7504
Hg4 0.2623 0.8368 0.5000
Hg5 0.7377 0.1632 0.5000
Hg6 0.8196 0.8200 0.2496
Hg7 0.8200 0.8196 0.7496
Hg8 0.8368 0.2623 0.0000
Cl1 0.4999 0.5001 0.2500
Cl2 0.5001 0.4999 0.7500
F1 0.0000 0.5000 0.5000
F2 0.5000 0.0000 0.0000


Entry 4:
# Nd3In3Ag8
Calculated XRD peak list, Cu Ka. Input: a DFT-relaxed cell (GGA-PBE, Alexandria).
Kinematic intensities with the Lorentz-polarization factor, no thermal factor.

Principal peaks in the range 2θ = 10–80°, sorted by position:
d (Å), Rel. int.
2.854, 18
2.744, 100
2.732, 46
2.667, 18
2.541, 34
2.310, 44
2.299, 23
1.403, 16

Crystal structure
a = 8.8757 Å, b = 8.8757 Å, c = 8.8757 Å
α = 149.83°, β = 110.08°, γ = 78.01°
Fractional coordinates of all 14 atoms:
Nd1 0.0000 0.0000 0.0000
Nd2 0.2992 0.2992 0.0000
Nd3 0.7008 0.7008 0.0000
In1 0.2918 0.5000 0.7918
In2 0.5000 0.0000 0.5000
In3 0.7082 0.5000 0.2082
Ag1 0.0314 0.6652 0.3662
Ag2 0.1456 0.8621 0.2835
Ag3 0.2989 0.6652 0.6338
Ag4 0.4215 0.1379 0.2835
Ag5 0.5785 0.8621 0.7165
Ag6 0.7011 0.3348 0.3662
Ag7 0.8544 0.1379 0.7165
Ag8 0.9686 0.3348 0.6338


Entry 5:
# CdAg2Au6
Calculated XRD peak list, Cu Ka. Input: a DFT-relaxed cell (GGA-PBE, Alexandria).
Kinematic intensities with the Lorentz-polarization factor, no thermal factor.

Principal peaks in the range 2θ = 10–80°, sorted by position:
d (Å), Rel. int.
2.411, 100
2.145, 18
2.061, 32
1.486, 22
1.458, 10
1.284, 14
1.247, 25
1.206, 11

Crystal structure
a = 8.7452 Å, b = 8.7452 Å, c = 4.2904 Å
α = 90.00°, β = 90.00°, γ = 90.00°
Fractional coordinates of all 18 atoms:
Cd1 0.0000 0.0000 0.0000
Cd2 0.5000 0.5000 0.5000
Ag1 0.1692 0.1692 0.5000
Ag2 0.3308 0.6692 0.0000
Ag3 0.6692 0.3308 0.0000
Ag4 0.8308 0.8308 0.5000
Au1 0.0016 0.3333 0.0000
Au2 0.1653 0.8347 0.5000
Au3 0.1667 0.5016 0.5000
Au4 0.3333 0.0016 0.0000
Au5 0.3347 0.3347 0.0000
Au6 0.4984 0.8333 0.5000
Au7 0.5016 0.1667 0.5000
Au8 0.6653 0.6653 0.0000
Au9 0.6667 0.9984 0.0000
Au10 0.8333 0.4984 0.5000
Au11 0.8347 0.1653 0.5000
Au12 0.9984 0.6667 0.0000


Entry 6:
# SmDyTm2Th
Calculated XRD peak list, Cu Ka. Input: a DFT-relaxed cell (GGA-PBE, Alexandria).
Kinematic intensities with the Lorentz-polarization factor, no thermal factor.

Principal peaks in the range 2θ = 10–80°, sorted by position:
d (Å), Rel. int.
4.113, 35
3.006, 43
2.915, 42
2.832, 28
2.701, 100
2.655, 32
2.562, 37
2.494, 32

Crystal structure
a = 8.2998 Å, b = 6.0126 Å, c = 6.9294 Å
α = 90.00°, β = 97.87°, γ = 90.00°
Fractional coordinates of all 10 atoms:
Sm1 0.0000 0.0000 0.0000
Sm2 0.0000 0.0000 0.5000
Dy1 0.5000 0.0776 0.2500
Dy2 0.5000 0.9224 0.7500
Tm1 0.3331 0.4254 0.5722
Tm2 0.3331 0.5746 0.0722
Tm3 0.6669 0.4254 0.9278
Tm4 0.6669 0.5746 0.4278
Th1 0.0000 0.4769 0.2500
Th2 0.0000 0.5231 0.7500


Entry 7:
# CaSi3B
Calculated XRD peak list, Cu Ka. Input: a DFT-relaxed cell (GGA-PBE, Alexandria).
Kinematic intensities with the Lorentz-polarization factor, no thermal factor.

Principal peaks in the range 2θ = 10–80°, sorted by position:
d (Å), Rel. int.
3.095, 9
2.527, 100
2.189, 61
1.787, 3
1.548, 38
1.384, 1
1.320, 36
1.264, 13

Crystal structure
a = 4.3774 Å, b = 4.3774 Å, c = 4.3774 Å
α = 90.00°, β = 90.00°, γ = 90.00°
Fractional coordinates of all 5 atoms:
Ca1 0.0000 0.0000 0.0000
Si1 0.0000 0.5000 0.5000
Si2 0.5000 0.0000 0.5000
Si3 0.5000 0.5000 0.0000
B1 0.5000 0.5000 0.5000


Entry 8:
# Sr2Cd2Hg5
Calculated XRD peak list, Cu Ka. Input: a DFT-relaxed cell (GGA-PBE, Alexandria).
Kinematic intensities with the Lorentz-polarization factor, no thermal factor.

Principal peaks in the range 2θ = 10–80°, sorted by position:
d (Å), Rel. int.
4.851, 13
2.910, 100
2.571, 60
2.417, 32
1.818, 23
1.764, 13
1.542, 31
1.454, 20

Crystal structure
a = 5.1426 Å, b = 5.1426 Å, c = 9.7027 Å
α = 90.00°, β = 90.00°, γ = 90.00°
Fractional coordinates of all 9 atoms:
Sr1 0.0000 0.0000 0.0000
Sr2 0.0000 0.0000 0.5000
Cd1 0.5000 0.5000 0.1410
Cd2 0.5000 0.5000 0.8590
Hg1 0.0000 0.5000 0.2764
Hg2 0.0000 0.5000 0.7236
Hg3 0.5000 0.0000 0.2764
Hg4 0.5000 0.0000 0.7236
Hg5 0.5000 0.5000 0.5000


Entry 9:
# AcPm8Dy3
Calculated XRD peak list, Cu Ka. Input: a DFT-relaxed cell (GGA-PBE, Alexandria).
Kinematic intensities with the Lorentz-polarization factor, no thermal factor.

Principal peaks in the range 2θ = 10–80°, sorted by position:
d (Å), Rel. int.
3.200, 24
2.937, 25
2.810, 100
2.164, 16
1.848, 20
1.671, 18
1.564, 19
1.545, 11

Crystal structure
a = 6.3974 Å, b = 8.6759 Å, c = 8.6939 Å
α = 85.13°, β = 68.42°, γ = 68.51°
Fractional coordinates of all 12 atoms:
Ac1 0.0000 0.0000 0.0000
Pm1 0.9997 0.9149 0.4228
Pm2 0.3305 0.1689 0.1692
Pm3 0.3336 0.5806 0.0884
Pm4 0.3345 0.0876 0.5802
Pm5 0.3410 0.6623 0.6620
Pm6 0.6660 0.3373 0.3376
Pm7 0.6680 0.8308 0.8312
Pm8 0.9989 0.4231 0.9150
Dy1 0.6646 0.2546 0.7488
Dy2 0.6648 0.7490 0.2540
Dy3 0.9980 0.5000 0.5001


Entry 10:
# KRbSnS2
Calculated XRD peak list, Cu Ka. Input: a DFT-relaxed cell (GGA-PBE, Alexandria).
Kinematic intensities with the Lorentz-polarization factor, no thermal factor.

Principal peaks in the range 2θ = 10–80°, sorted by position:
d (Å), Rel. int.
5.905, 44
3.952, 31
3.942, 39
3.590, 41
3.428, 100
3.068, 90
2.918, 49
2.681, 32

Crystal structure
a = 7.4712 Å, b = 7.4712 Å, c = 12.3517 Å
α = 106.34°, β = 106.34°, γ = 32.15°
Fractional coordinates of all 10 atoms:
K1 0.1459 0.1459 0.0274
K2 0.8541 0.8541 0.9726
Rb1 0.1554 0.1554 0.6369
Rb2 0.8446 0.8446 0.3631
Sn1 0.4592 0.4592 0.7849
Sn2 0.5408 0.5408 0.2151
S1 0.0874 0.0874 0.3529
S2 0.3607 0.3607 0.1662
S3 0.6393 0.6393 0.8338
S4 0.9126 0.9126 0.6471


Entry 11:
# Dy8Ho3Er
Calculated XRD peak list, Cu Ka. Input: a DFT-relaxed cell (GGA-PBE, Alexandria).
Kinematic intensities with the Lorentz-polarization factor, no thermal factor.

Principal peaks in the range 2θ = 10–80°, sorted by position:
d (Å), Rel. int.
4.406, 26
3.816, 13
2.698, 100
2.301, 15
1.908, 18
1.558, 38
1.349, 12
1.207, 17

Crystal structure
a = 9.3467 Å, b = 9.3467 Å, c = 9.3467 Å
α = 131.81°, β = 131.81°, γ = 70.53°
Fractional coordinates of all 12 atoms:
Dy1 0.1252 0.1252 0.5003
Dy2 0.1252 0.6250 0.0000
Dy3 0.3750 0.3750 0.5003
Dy4 0.3750 0.8748 0.0000
Dy5 0.6250 0.1252 0.0000
Dy6 0.6250 0.6250 0.4997
Dy7 0.8748 0.3750 0.0000
Dy8 0.8748 0.8748 0.4997
Ho1 0.0000 0.0000 0.0000
Ho2 0.2500 0.7500 0.5000
Ho3 0.7500 0.2500 0.5000
Er1 0.5000 0.5000 0.0000


Entry 12:
# Cs2RbLaF6
Calculated XRD peak list, Cu Ka. Input: a DFT-relaxed cell (GGA-PBE, Alexandria).
Kinematic intensities with the Lorentz-polarization factor, no thermal factor.

Principal peaks in the range 2θ = 10–80°, sorted by position:
d (Å), Rel. int.
3.565, 24
3.521, 100
3.497, 24
2.496, 27
2.483, 15
2.050, 18
2.027, 19
2.021, 19

Crystal structure
a = 6.9942 Å, b = 7.1293 Å, c = 12.1289 Å
α = 90.00°, β = 125.02°, γ = 90.00°
Fractional coordinates of all 20 atoms:
Cs1 0.2391 0.0394 0.2487
Cs2 0.2391 0.4606 0.7487
Cs3 0.7609 0.5394 0.2513
Cs4 0.7609 0.9606 0.7513
Rb1 0.0000 0.0000 0.5000
Rb2 0.0000 0.5000 0.0000
La1 0.5000 0.0000 0.0000
La2 0.5000 0.5000 0.5000
F1 0.1897 0.1842 0.9588
F2 0.1897 0.3158 0.4588
F3 0.2677 0.7339 0.9481
F4 0.2677 0.7661 0.4481
F5 0.3623 0.0375 0.7746
F6 0.3623 0.4625 0.2746
F7 0.6377 0.5375 0.7254
F8 0.6377 0.9625 0.2254
F9 0.7323 0.2339 0.5519
F10 0.7323 0.2661 0.0519
F11 0.8103 0.6842 0.5412
F12 0.8103 0.8158 0.0412